Starting from a structure optimized by DFT (PBE), the X-ray diffraction stick pattern of PrYGaTe3 was calculated for Cu Kα (weighted mean of Kα1 and Kα2).
Kinematic intensities with the Lorentz-polarization factor, no thermal factor.

Top 6 peaks for 15 to 90 degrees two-theta, sorted by position:
| Position (°2θ) | I (rel.) |
| --- | --- |
| 28.5 | 46 |
| 32.1 | 100 |
| 33.9 | 27 |
| 38.8 | 14 |
| 42.6 | 21 |
| 43.4 | 13 |

Structure:
```
PrYGaTe3
1.0
2.123 -7.759 0.000
2.123 7.759 0.000
0.000 0.000 10.563
Pr Y Ga Te
2 2 2 6
Direct
0.224 0.776 0.750
0.776 0.224 0.250
0.000 0.000 0.000
0.000 0.000 0.500
0.473 0.527 0.250
0.527 0.473 0.750
0.118 0.882 0.250
0.349 0.651 0.039
0.349 0.651 0.461
0.651 0.349 0.539
0.651 0.349 0.961
0.882 0.118 0.750
```